1.
For Pr4Al12Cu, DFT lattice parameters and positions (GGA-PBE) gives the computed X-ray diffraction stick pattern in this record (Cu Ka).

Largest 8 diffraction maxima, in order of rising 2θ, 2θ = 5–70°:
Position (°2θ)  Rel. int.  hkl
20.04  56.3  2 0 0
28.49  100.0  2 2 0
35.08  82.6  2 2 2
40.73  55.5  4 0 0
45.79  31.7  4 2 0
50.45  36.8  4 2 2
58.96  34.5  4 4 0
66.76  21.0  6 2 0

Atomic structure:
a b c (Å): 8.862 8.862 8.862
angles (deg): 90.00 90.00 90.00
Space group Im-3m (No. 229)
Symmetry-distinct sites (fractional):
Pr  0.250  0.250  0.250 [8 per cell]
Al  0.000  0.000  0.295 [12 per cell]
Al  0.000  0.250  0.500 [12 per cell]
Cu  0.000  0.000  0.000 [2 per cell]

---

2.
For MgAsPd3, DFT lattice parameters and positions (GGA-PBE) gives the computed X-ray diffraction stick pattern in this record (Cu Ka).

Largest 8 diffraction maxima, in order of rising 2θ, 2θ = 5–70°:
Position (°2θ)  Rel. int.  hkl
18.84  97.6  1 0 -2
38.82  65.2  1 0 -4
39.65  60.7  1 2 1
40.05  50.2  0 2 2
40.98  62.0  2 2 -1
41.87  49.4  2 1 -4
42.42  100.0  2 0 2
43.17  48.1  2 2 0

Atomic structure:
a b c (Å): 7.718 5.376 9.507
angles (deg): 90.00 119.88 90.00
Space group P2_1/c (No. 14)
Symmetry-distinct sites (fractional):
Mg  0.165  0.236  0.087 [4 per cell]
As  0.316  0.652  0.833 [4 per cell]
Pd  0.014  0.565  0.216 [4 per cell]
Pd  0.245  0.746  0.058 [4 per cell]
Pd  0.370  0.193  0.928 [4 per cell]

---

3.
For CdHg2AsI2, DFT lattice parameters and positions (GGA-PBE) gives the computed X-ray diffraction stick pattern in this record (Cu Ka).

Largest 8 diffraction maxima, in order of rising 2θ, 2θ = 5–70°:
Position (°2θ)  Rel. int.  hkl
20.63  55.2  3 1 0
23.19  100.0  0 0 2
27.05  80.3  0 2 1
32.35  50.2  4 0 2
33.63  68.9  6 0 0
33.90  66.1  0 2 2
47.41  48.8  0 0 4
48.50  45.0  6 2 2

Atomic structure:
a b c (Å): 15.991 7.301 7.670
angles (deg): 90.00 90.00 90.00
Space group Cmc2_1 (No. 36)
Symmetry-distinct sites (fractional):
Cd  0.000  0.010  0.000 [4 per cell]
Hg  0.159  0.343  0.739 [8 per cell]
As  0.000  0.240  0.741 [4 per cell]
I  0.158  0.214  0.241 [8 per cell]